Simulated powder diffraction line list
Compound: GaBiOs2
Radiation: Cu Kα (λ = 1.5418 Å)
Structure: the PBE geometry in Alexandria
Kinematic intensities with the Lorentz-polarization factor, no thermal factor.

Peak list (10 most intense, 10 to 90 degrees two-theta, low angle first)
2θ 23.88, d = 3.727 Å, I = 9.8, hkl 1 1 1; 2θ 27.64, d = 3.228 Å, I = 2.5, hkl 2 0 0; 2θ 39.48, d = 2.282 Å, I = 100.0, hkl 2 2 0; 2θ 46.67, d = 1.946 Å, I = 5.4, hkl 3 1 1; 2θ 57.07, d = 1.614 Å, I = 17.3, hkl 4 0 0; 2θ 62.74, d = 1.481 Å, I = 2.3, hkl 3 3 1; 2θ 71.61, d = 1.318 Å, I = 35.5, hkl 4 2 2; 2θ 76.71, d = 1.242 Å, I = 1.8, hkl 5 1 1; 2θ 84.99, d = 1.141 Å, I = 11.6, hkl 4 4 0; 2θ 89.90, d = 1.091 Å, I = 2.1, hkl 5 3 1

Structural model:
```
data_GaBiOs2
_chemical_formula_sum 'Ga4 Bi4 Os8'
_space_group_name_H-M_alt 'P 1'
_space_group_IT_number 1
_space_group_name_Hall 'P 1'
_cell_length_a 6.455
_cell_length_b 6.455
_cell_length_c 6.455
_cell_angle_alpha 90.00
_cell_angle_beta 90.00
_cell_angle_gamma 90.00
loop_
_atom_site_label
_atom_site_fract_x
_atom_site_fract_y
_atom_site_fract_z
Ga1 0.000 0.000 0.000
Ga2 0.000 0.500 0.500
Ga3 0.500 0.000 0.500
Ga4 0.500 0.500 0.000
Bi1 0.000 0.000 0.500
Bi2 0.000 0.500 0.000
Bi3 0.500 0.000 0.000
Bi4 0.500 0.500 0.500
Os1 0.250 0.250 0.250
Os2 0.250 0.250 0.750
Os3 0.250 0.750 0.250
Os4 0.250 0.750 0.750
Os5 0.750 0.250 0.250
Os6 0.750 0.250 0.750
Os7 0.750 0.750 0.250
Os8 0.750 0.750 0.750
```